(1)
# Tb5Hg2Pt2
Computed powder X-ray diffraction pattern, CuKα. Input: a crystal structure in Alexandria, relaxed with GGA-PBE.

Most intense lines, 10 to 90 degrees two-theta, sorted by position:
hkl  2θ (°)  d/Å  I (rel.)
3 1 2  30.98  2.887  83
4 2 0  32.49  2.756  100
0 2 2  32.82  2.729  97
4 2 1  34.58  2.594  95
1 1 3  37.21  2.416  64
1 3 1  37.33  2.409  63
5 1 2  38.68  2.328  51
10 0 0  58.60  1.575  29
9 1 3  65.66  1.422  49
0 4 4  68.73  1.366  27

Atomic structure:
a b c (Å): 15.743 7.706 7.735
angles (deg): 90.00 90.00 90.00
Space group Cmce (No. 64)
Symmetry-distinct sites (fractional):
Tb 0.000 0.000 0.000
Tb 0.123 0.172 0.331
Hg 0.213 0.000 0.000
Pt 0.000 0.131 0.634


(2)
# HgTe3Pt3
Computed powder X-ray diffraction pattern, CuKα. Input: a crystal structure in Alexandria, relaxed with GGA-PBE.

Most intense lines, 10 to 90 degrees two-theta, sorted by position:
hkl  2θ (°)  d/Å  I (rel.)
0 4 0  22.09  4.023  45
2 2 0  23.49  3.788  100
1 5 1  34.48  2.601  62
0 0 2  34.86  2.574  86
3 1 1  36.35  2.472  45
2 6 0  39.62  2.275  53
3 3 1  39.76  2.267  73
2 2 2  42.46  2.129  42
2 6 1  43.50  2.081  33
2 6 2  53.78  1.704  44

Atomic structure:
a b c (Å): 8.587 16.093 5.148
angles (deg): 90.00 90.00 90.00
Space group Cmcm (No. 63)
Symmetry-distinct sites (fractional):
Hg 0.000 0.170 0.250
Te 0.000 0.285 0.750
Te 0.220 0.070 0.750
Pt 0.000 0.359 0.250
Pt 0.193 0.410 0.750


(3)
# HgTe2Pt
Computed powder X-ray diffraction pattern, CuKα. Input: a crystal structure in Alexandria, relaxed with GGA-PBE.

Most intense lines, 10 to 90 degrees two-theta, sorted by position:
hkl  2θ (°)  d/Å  I (rel.)
2 0 0  19.95  4.450  45
2 1 1  27.51  3.242  48
2 2 0  28.37  3.146  86
2 0 2  38.01  2.367  100
2 2 2  43.29  2.090  20
4 1 1  45.02  2.014  19
4 2 0  45.59  1.990  36
4 0 2  52.57  1.741  26
4 2 2  56.79  1.621  27
6 2 2  75.67  1.257  26

Atomic structure:
a b c (Å): 8.899 8.899 5.591
angles (deg): 90.00 90.00 90.00
Space group I4/mcm (No. 140)
Symmetry-distinct sites (fractional):
Hg 0.000 0.000 0.250
Te 0.179 0.321 0.000
Pt 0.000 0.500 0.250


(4)
# Th4HgPt2
Computed powder X-ray diffraction pattern, CuKα. Input: a crystal structure in Alexandria, relaxed with GGA-PBE.

Most intense lines, 10 to 90 degrees two-theta, sorted by position:
hkl  2θ (°)  d/Å  I (rel.)
1 0 4  25.50  3.493  16
0 1 5  26.46  3.369  46
1 0 10  33.47  2.677  100
0 1 11  35.21  2.549  24
1 1 0  41.68  2.167  64
0 0 21  50.09  1.821  14
0 1 20  53.85  1.702  17
0 2 10  54.48  1.684  26
1 1 21  67.16  1.394  22
2 1 10  70.86  1.330  24

Atomic structure:
a b c (Å): 4.3337 4.3337 38.2047
angles (deg): 90.00 90.00 120.00
Space group R-3m (No. 166, hexagonal axes)
Symmetry-distinct sites (fractional):
Th 0.0000 0.0000 0.1106
Th 0.0000 0.0000 0.3015
Hg 0.0000 0.0000 0.5000
Pt 0.0000 0.0000 0.4035


(5)
# Th2HgPt
Computed powder X-ray diffraction pattern, CuKα. Input: a crystal structure in Alexandria, relaxed with GGA-PBE.

Most intense lines, 10 to 90 degrees two-theta, sorted by position:
hkl  2θ (°)  d/Å  I (rel.)
1 1 1  29.25  3.054  100
2 0 2  38.96  2.312  40
0 0 4  44.34  2.043  7
0 2 0  44.56  2.033  34
2 2 -2  54.15  1.694  12
4 0 0  54.27  1.690  6
2 2 2  60.65  1.527  11
0 2 4  64.64  1.442  9
4 2 0  72.69  1.301  16
1 3 -3  78.25  1.222  7

Atomic structure:
a b c (Å): 7.038 4.070 8.506
angles (deg): 90.00 106.12 90.00
Space group C2/m (No. 12)
Symmetry-distinct sites (fractional):
Th 0.238 0.000 0.213
Hg 0.000 0.000 0.500
Pt 0.000 0.500 0.000


(6)
# Tl4Hg2Pt
Computed powder X-ray diffraction pattern, CuKα. Input: a crystal structure in Alexandria, relaxed with GGA-PBE.

Most intense lines, 10 to 90 degrees two-theta, sorted by position:
hkl  2θ (°)  d/Å  I (rel.)
1 1 0  28.05  3.181  30
2 0 0  30.00  2.979  25
1 0 -3  30.46  2.935  74
1 1 1  31.14  2.872  100
0 1 2  31.28  2.859  23
2 0 1  34.08  2.631  30
0 1 3  38.93  2.313  29
2 1 -2  40.05  2.251  60
0 2 0  48.40  1.881  25
1 2 -3  58.26  1.584  27

Atomic structure:
a b c (Å): 6.148 3.761 9.083
angles (deg): 90.00 104.32 90.00
Space group P2/m (No. 10)
Symmetry-distinct sites (fractional):
Tl 0.170 0.000 0.367
Tl 0.308 0.500 0.749
Hg 0.256 0.000 0.043
Pt 0.500 0.500 0.500


(7)
# Tl6Hg10Pt
Computed powder X-ray diffraction pattern, CuKα. Input: a crystal structure in Alexandria, relaxed with GGA-PBE.

Most intense lines, 10 to 90 degrees two-theta, sorted by position:
hkl  2θ (°)  d/Å  I (rel.)
2 1 0  28.90  3.090  19
3 -1 1  32.34  2.768  100
3 0 0  32.87  2.725  44
1 1 2  34.49  2.600  75
4 -2 1  40.89  2.207  13
2 2 2  48.39  1.881  21
4 1 0  51.21  1.784  13
3 -1 3  53.13  1.724  20
5 0 2  64.35  1.448  17
3 0 4  69.49  1.353  12

Atomic structure:
a b c (Å): 9.4386 9.4386 6.2317
angles (deg): 90.00 90.00 120.00
Space group P-31m (No. 162)
Symmetry-distinct sites (fractional):
Tl 0.0000 0.3940 0.2547
Hg 0.0000 0.2327 0.7790
Hg 0.3333 0.6667 0.0000
Hg 0.3333 0.6667 0.5000
Pt 0.0000 0.0000 0.5000


(8)
# Tl2Hg8Pt
Computed powder X-ray diffraction pattern, CuKα. Input: a crystal structure in Alexandria, relaxed with GGA-PBE.

Most intense lines, 10 to 90 degrees two-theta, sorted by position:
hkl  2θ (°)  d/Å  I (rel.)
1 1 2  29.88  2.990  30
1 1 3  33.74  2.657  100
0 0 5  34.64  2.590  18
2 0 0  37.74  2.384  54
2 0 5  52.15  1.754  24
2 2 0  54.44  1.685  19
1 1 8  63.79  1.459  15
3 1 3  65.60  1.423  30
2 2 5  66.15  1.413  12
3 1 8  88.67  1.103  13

Atomic structure:
a b c (Å): 4.767 4.767 12.948
angles (deg): 90.00 90.00 90.00
Space group P4/mmm (No. 123)
Symmetry-distinct sites (fractional):
Tl 0.000 0.000 0.197
Hg 0.000 0.500 0.000
Hg 0.000 0.500 0.379
Hg 0.500 0.500 0.190
Pt 0.000 0.000 0.500


(9)
# Tm4Hg2Pt
Computed powder X-ray diffraction pattern, CuKα. Input: a crystal structure in Alexandria, relaxed with GGA-PBE.

Most intense lines, 10 to 90 degrees two-theta, sorted by position:
hkl  2θ (°)  d/Å  I (rel.)
1 3 0  24.28  3.665  36
1 1 1  25.95  3.433  64
1 4 0  30.93  2.891  72
2 1 1  32.74  2.735  100
1 3 1  33.10  2.706  29
2 2 1  35.11  2.556  63
3 2 0  37.33  2.409  36
1 5 1  44.37  2.042  39
0 0 2  45.19  2.007  39
1 4 2  55.77  1.648  28

Atomic structure:
a b c (Å): 7.837 12.441 4.013
angles (deg): 90.00 90.00 90.00
Space group Pbam (No. 55)
Symmetry-distinct sites (fractional):
Tm 0.129 0.203 0.000
Tm 0.230 0.947 0.500
Hg 0.083 0.669 0.500
Pt 0.000 0.000 0.000


(10)
# TmZnHgPt
Computed powder X-ray diffraction pattern, CuKα. Input: a crystal structure in Alexandria, relaxed with GGA-PBE.

Most intense lines, 10 to 90 degrees two-theta, sorted by position:
hkl  2θ (°)  d/Å  I (rel.)
1 1 1  22.73  3.912  6
2 0 0  26.30  3.388  7
2 2 0  37.54  2.396  100
3 1 1  44.33  2.043  3
2 2 2  46.42  1.956  2
4 0 0  54.14  1.694  18
4 2 0  61.16  1.515  3
4 2 2  67.74  1.383  36
4 4 0  80.11  1.198  11
6 0 0  86.09  1.129  2

Atomic structure:
a b c (Å): 6.777 6.777 6.777
angles (deg): 90.00 90.00 90.00
Space group F-43m (No. 216)
Symmetry-distinct sites (fractional):
Tm 0.000 0.000 0.000
Zn 0.000 0.000 0.500
Hg 0.250 0.250 0.750
Pt 0.250 0.250 0.250


(11)
# Y6Hg5Pt
Computed powder X-ray diffraction pattern, CuKα. Input: a crystal structure in Alexandria, relaxed with GGA-PBE.

Most intense lines, 10 to 90 degrees two-theta, sorted by position:
hkl  2θ (°)  d/Å  I (rel.)
0 0 2  24.07  3.697  6
1 3 0  24.17  3.682  11
2 0 0  34.40  2.607  100
2 0 2  42.47  2.129  5
0 0 4  49.30  1.849  6
2 6 0  49.51  1.841  12
2 0 4  61.53  1.507  12
3 3 2  61.67  1.504  24
2 6 4  72.46  1.304  7
4 6 0  82.90  1.165  10

Atomic structure:
a b c (Å): 5.206 15.624 7.394
angles (deg): 90.00 90.00 90.00
Space group Cmmm (No. 65)
Symmetry-distinct sites (fractional):
Y 0.000 0.000 0.235
Y 0.000 0.340 0.244
Hg 0.000 0.169 0.500
Hg 0.000 0.175 0.000
Hg 0.000 0.500 0.500
Pt 0.000 0.500 0.000


(12)
# YHg3Pt8
Computed powder X-ray diffraction pattern, CuKα. Input: a crystal structure in Alexandria, relaxed with GGA-PBE.

Most intense lines, 10 to 90 degrees two-theta, sorted by position:
hkl  2θ (°)  d/Å  I (rel.)
0 0 6  20.15  4.406  9
1 1 0  33.20  2.698  24
1 0 10  39.15  2.301  100
0 2 4  40.96  2.203  44
2 0 8  47.66  1.908  6
3 0 0  59.32  1.558  9
2 1 10  63.32  1.469  33
2 2 0  69.69  1.349  29
1 3 10  82.96  1.164  12
2 0 20  84.14  1.151  17

Atomic structure:
a b c (Å): 5.3980 5.3980 26.4279
angles (deg): 90.00 90.00 120.00
Space group R3m (No. 160, hexagonal axes)
Symmetry-distinct sites (fractional):
Y 0.0000 0.0000 0.0000
Hg 0.0000 0.0000 0.3790
Hg 0.0000 0.0000 0.5021
Hg 0.0000 0.0000 0.8749
Pt 0.0000 0.0000 0.1885
Pt 0.0000 0.0000 0.6885
Pt 0.0004 0.5002 0.4380
Pt 0.0008 0.5004 0.9390